Diffraction record for CeIn9Rh2. The powder XRD pattern is computed, not measured: it uses a GGA-PBE-relaxed structure and Cu Kα (λ = 1.5418 Å).
Neutral-atom scattering factors, no anomalous dispersion.

Most intense lines, 10 to 90 degrees two-theta, in order of rising 2θ:
| h k l | Position (°2θ) | intensity |
| --- | --- | --- |
| 3 2 1 | 28.84 | 23 |
| 4 2 0 | 32.55 | 47 |
| 3 1 2 | 33.51 | 100 |
| 1 0 3 | 37.35 | 23 |
| 5 0 1 | 38.58 | 76 |
| 2 1 3 | 40.22 | 16 |
| 4 2 2 | 40.95 | 24 |
| 5 5 2 | 58.69 | 20 |
| 3 0 5 | 67.54 | 18 |
| 8 4 0 | 68.18 | 13 |

```
data_CeIn9Rh2
_chemical_formula_sum 'Ce4 In36 Rh8'
_symmetry_space_group_name_H-M 'I 41/a m d'
_symmetry_Int_Tables_number 141
_cell_length_a 12.3014
_cell_length_b 12.3014
_cell_length_c 7.3651
_cell_angle_alpha 90.00
_cell_angle_beta 90.00
_cell_angle_gamma 90.00
loop_
_symmetry_equiv_pos_as_xyz
'x,y,z'
'-x,-y,-z'
'-y+1/4,x+3/4,z+1/4'
'y+1/4,-x+3/4,-z+1/4'
'-x+1/2,-y,z+1/2'
'x+1/2,y,-z+1/2'
'y+1/4,-x+1/4,z+3/4'
'-y+1/4,x+1/4,-z+3/4'
'x,-y,-z'
'-x,y,z'
'-y+1/4,-x+1/4,-z+3/4'
'y+1/4,x+1/4,z+3/4'
'-x+1/2,y,-z+1/2'
'x+1/2,-y,z+1/2'
'y+1/4,x+3/4,-z+1/4'
'-y+1/4,-x+3/4,z+1/4'
'x+1/2,y+1/2,z+1/2'
'-x+1/2,-y+1/2,-z+1/2'
'-y+3/4,x+1/4,z+3/4'
'y+3/4,-x+1/4,-z+3/4'
'-x,-y+1/2,z'
'x,y+1/2,-z'
'y+3/4,-x+3/4,z+1/4'
'-y+3/4,x+3/4,-z+1/4'
'x+1/2,-y+1/2,-z+1/2'
'-x+1/2,y+1/2,z+1/2'
'-y+3/4,-x+3/4,-z+1/4'
'y+3/4,x+3/4,z+1/4'
'-x,y+1/2,-z'
'x,-y+1/2,z'
'y+3/4,x+1/4,-z+3/4'
'-y+3/4,-x+1/4,z+3/4'
loop_
_atom_site_label
_atom_site_fract_x
_atom_site_fract_y
_atom_site_fract_z
Ce1 0.0000 0.2500 0.3750
In1 0.0000 0.2500 0.8750
In2 0.1202 0.0646 0.6737
Rh1 0.0000 0.0000 0.0000
```

Diffraction record for Ce5In2Rh. The powder XRD pattern is computed, not measured: it uses a GGA-PBE-relaxed structure and Cu Kα (λ = 1.5418 Å).
Neutral-atom scattering factors, no anomalous dispersion.

Most intense lines, 10 to 90 degrees two-theta, in order of rising 2θ:
| h k l | Position (°2θ) | intensity |
| --- | --- | --- |
| 0 2 0 | 10.53 | 57 |
| 1 1 0 | 17.18 | 100 |
| 1 1 3 | 27.98 | 31 |
| 0 4 3 | 30.65 | 85 |
| 1 5 0 | 31.30 | 46 |
| 1 5 1 | 32.20 | 39 |
| 2 0 0 | 33.04 | 80 |
| 1 1 4 | 34.22 | 32 |
| 1 5 3 | 38.55 | 74 |
| 2 4 3 | 45.68 | 57 |

```
data_Ce5In2Rh
_chemical_formula_sum 'Ce20 In8 Rh4'
_symmetry_space_group_name_H-M 'C m c m'
_symmetry_Int_Tables_number 63
_symmetry_space_group_name_Hall '-C 2c 2'
_cell_length_a 5.4230
_cell_length_b 16.7954
_cell_length_c 12.1668
_cell_angle_alpha 90.00
_cell_angle_beta 90.00
_cell_angle_gamma 90.00
loop_
_atom_site_label
_atom_site_fract_x
_atom_site_fract_y
_atom_site_fract_z
Ce1 0.0000 0.0531 0.0919
Ce2 0.0000 0.2767 0.0538
Ce3 0.0000 0.3146 0.7500
In1 0.0000 0.1346 0.6354
Rh1 0.0000 0.1731 0.2500
```

Diffraction record for CeIn4Rh2. The powder XRD pattern is computed, not measured: it uses a GGA-PBE-relaxed structure and Cu Kα (λ = 1.5418 Å).
Neutral-atom scattering factors, no anomalous dispersion.

Most intense lines, 10 to 90 degrees two-theta, in order of rising 2θ:
| h k l | Position (°2θ) | intensity |
| --- | --- | --- |
| 1 1 2 | 31.87 | 41 |
| 2 1 2 | 32.99 | 100 |
| 5 1 1 | 33.84 | 90 |
| 6 1 0 | 35.53 | 36 |
| 7 0 1 | 36.34 | 35 |
| 0 2 0 | 40.33 | 66 |
| 2 1 3 | 43.20 | 32 |
| 6 1 2 | 43.45 | 24 |
| 7 2 1 | 55.40 | 20 |
| 12 1 0 | 64.32 | 16 |

```
data_CeIn4Rh2
_chemical_formula_sum 'Ce4 In16 Rh8'
_symmetry_space_group_name_H-M 'P n m a'
_symmetry_Int_Tables_number 62
_cell_length_a 18.3701
_cell_length_b 4.4729
_cell_length_c 7.3599
_cell_angle_alpha 90.00
_cell_angle_beta 90.00
_cell_angle_gamma 90.00
loop_
_symmetry_equiv_pos_as_xyz
'x,y,z'
'-x,-y,-z'
'-x+1/2,-y,z+1/2'
'x+1/2,y,-z+1/2'
'x+1/2,-y+1/2,-z+1/2'
'-x+1/2,y+1/2,z+1/2'
'-x,y+1/2,-z'
'x,-y+1/2,z'
loop_
_atom_site_label
_atom_site_fract_x
_atom_site_fract_y
_atom_site_fract_z
Ce1 0.1410 0.2500 0.0564
In1 0.0346 0.7500 0.8574
In2 0.0705 0.2500 0.5060
In3 0.1866 0.7500 0.3575
In4 0.1918 0.7500 0.7617
Rh1 0.0438 0.7500 0.2456
Rh2 0.2213 0.2500 0.5619
```

Diffraction record for Ce4InRh12. The powder XRD pattern is computed, not measured: it uses a GGA-PBE-relaxed structure and Cu Kα (λ = 1.5418 Å).
Neutral-atom scattering factors, no anomalous dispersion.

Most intense lines, 10 to 90 degrees two-theta, in order of rising 2θ:
| h k l | Position (°2θ) | intensity |
| --- | --- | --- |
| 2 2 0 | 29.89 | 13 |
| 2 2 2 | 36.83 | 100 |
| 3 2 1 | 39.90 | 15 |
| 4 0 0 | 42.78 | 63 |
| 3 3 0 | 45.52 | 10 |
| 3 3 2 | 50.64 | 13 |
| 4 4 0 | 62.10 | 34 |
| 6 2 2 | 74.43 | 26 |
| 4 4 4 | 78.35 | 9 |
| 6 3 3 | 84.14 | 9 |

```
data_Ce4InRh12
_chemical_formula_sum 'Ce8 In2 Rh24'
_symmetry_space_group_name_H-M 'I m -3 m'
_symmetry_Int_Tables_number 229
_symmetry_space_group_name_Hall '-I 4 2 3'
_cell_length_a 8.4549
_cell_length_b 8.4549
_cell_length_c 8.4549
_cell_angle_alpha 90.00
_cell_angle_beta 90.00
_cell_angle_gamma 90.00
loop_
_atom_site_label
_atom_site_fract_x
_atom_site_fract_y
_atom_site_fract_z
Ce1 0.2500 0.2500 0.2500
In1 0.0000 0.0000 0.0000
Rh1 0.0000 0.0000 0.3041
Rh2 0.0000 0.2500 0.5000
```

Diffraction record for CeInSi2Rh5. The powder XRD pattern is computed, not measured: it uses a GGA-PBE-relaxed structure and Cu Kα (λ = 1.5418 Å).
Neutral-atom scattering factors, no anomalous dispersion.

Most intense lines, 10 to 90 degrees two-theta, in order of rising 2θ:
| h k l | Position (°2θ) | intensity |
| --- | --- | --- |
| 0 0 3 | 25.59 | 55 |
| 1 0 2 | 27.87 | 27 |
| 1 1 1 | 32.41 | 50 |
| 1 1 2 | 35.75 | 100 |
| 1 1 3 | 40.79 | 24 |
| 2 0 0 | 44.74 | 63 |
| 1 1 4 | 47.09 | 48 |
| 2 0 3 | 52.25 | 30 |
| 2 0 6 | 71.46 | 24 |
| 3 1 2 | 76.58 | 21 |

```
data_CeInSi2Rh5
_chemical_formula_sum 'Ce1 In1 Si2 Rh5'
_symmetry_space_group_name_H-M 'P 4/m m m'
_symmetry_Int_Tables_number 123
_symmetry_space_group_name_Hall '-P 4 2'
_cell_length_a 4.0510
_cell_length_b 4.0510
_cell_length_c 10.4449
_cell_angle_alpha 90.00
_cell_angle_beta 90.00
_cell_angle_gamma 90.00
loop_
_atom_site_label
_atom_site_fract_x
_atom_site_fract_y
_atom_site_fract_z
Ce1 0.0000 0.0000 0.0000
In1 0.0000 0.0000 0.5000
Si1 0.5000 0.5000 0.2218
Rh1 0.0000 0.5000 0.3276
Rh2 0.5000 0.5000 0.0000
```

Diffraction record for Ce5In2Ru. The powder XRD pattern is computed, not measured: it uses a GGA-PBE-relaxed structure and Cu Kα (λ = 1.5418 Å).
Neutral-atom scattering factors, no anomalous dispersion.

Most intense lines, 10 to 90 degrees two-theta, in order of rising 2θ:
| h k l | Position (°2θ) | intensity |
| --- | --- | --- |
| 2 1 1 | 31.45 | 9 |
| 1 0 3 | 32.01 | 11 |
| 2 0 2 | 33.08 | 100 |
| 2 2 0 | 38.07 | 42 |
| 0 0 4 | 39.02 | 11 |
| 4 0 0 | 54.93 | 14 |
| 2 2 4 | 55.65 | 14 |
| 3 2 3 | 58.07 | 7 |
| 4 2 2 | 65.64 | 26 |
| 2 0 6 | 66.94 | 8 |

```
data_Ce5In2Ru
_chemical_formula_sum 'Ce10 In4 Ru2'
_symmetry_space_group_name_H-M 'I 4 m m'
_symmetry_Int_Tables_number 107
_symmetry_space_group_name_Hall 'I 4 -2'
_cell_length_a 6.6860
_cell_length_b 6.6860
_cell_length_c 9.2333
_cell_angle_alpha 90.00
_cell_angle_beta 90.00
_cell_angle_gamma 90.00
loop_
_atom_site_label
_atom_site_fract_x
_atom_site_fract_y
_atom_site_fract_z
Ce1 0.0000 0.0000 0.0000
Ce2 0.2328 0.2328 0.2958
In1 0.0000 0.5000 0.0513
Ru1 0.0000 0.0000 0.6603
```